Entry 1:
Starting from DFT lattice parameters and positions (PBE), the XRD peak list of Rb4CaSe4O14 was computed for Cu Kα (λ = 1.5418 Å).

Largest 10 diffraction maxima, in order of rising 2θ, 2θ = 10–90°:
| two_theta | intensity |
| --- | --- |
| 16.00 | 37.7 |
| 21.51 | 62.8 |
| 23.85 | 100.0 |
| 24.28 | 36.9 |
| 24.70 | 85.9 |
| 26.49 | 61.7 |
| 27.18 | 92.7 |
| 28.06 | 71.0 |
| 35.35 | 40.7 |
| 40.40 | 49.0 |

Structural model:
Unit cell a=8.3826 b=8.3826 c=8.0521 alpha=97.56 beta=97.56 gamma=59.05
Fractional coordinates of all 23 atoms:
Rb (0.1154, 0.5544, 0.1907)
Rb (0.1291, 0.1291, 0.3499)
Rb (0.4456, 0.8846, 0.8093)
Rb (0.8709, 0.8709, 0.6501)
Ca (0.5767, 0.4233, 0.0000)
Se (0.3702, 0.4432, 0.6438)
Se (0.5568, 0.6298, 0.3562)
Se (0.7666, 0.0235, 0.1319)
Se (0.9765, 0.2334, 0.8681)
O (0.0473, 0.1106, 0.6837)
O (0.1562, 0.2383, 0.9827)
O (0.1788, 0.4482, 0.5440)
O (0.3103, 0.6063, 0.8110)
O (0.3937, 0.6897, 0.1890)
O (0.4822, 0.5178, 0.5000)
O (0.5203, 0.2418, 0.7357)
O (0.5506, 0.2118, 0.1529)
O (0.5518, 0.8212, 0.4560)
O (0.7582, 0.4797, 0.2643)
O (0.7617, 0.8438, 0.0173)
O (0.7882, 0.4494, 0.8471)
O (0.8767, 0.1233, 0.0000)
O (0.8894, 0.9527, 0.3163)

---

Entry 2:
Starting from DFT lattice parameters and positions (PBE), the XRD peak list of SmH3 was computed for Cu Kα (λ = 1.5418 Å).

Largest 10 diffraction maxima, in order of rising 2θ, 2θ = 10–90°:
| two_theta | intensity |
| --- | --- |
| 26.18 | 33.3 |
| 27.34 | 22.4 |
| 30.39 | 100.0 |
| 38.22 | 17.7 |
| 48.33 | 19.6 |
| 48.90 | 28.1 |
| 55.80 | 24.6 |
| 58.17 | 16.1 |
| 75.27 | 10.1 |
| 78.92 | 13.3 |

Structural model:
Unit cell a=6.5230 b=6.5230 c=6.8065 alpha=90.00 beta=90.00 gamma=120.00
Fractional coordinates of all 24 atoms:
Sm (0.0000, 0.3370, 0.2500)
Sm (0.0000, 0.6630, 0.7500)
Sm (0.3370, 0.0000, 0.2500)
Sm (0.3370, 0.3370, 0.7500)
Sm (0.6630, 0.0000, 0.7500)
Sm (0.6630, 0.6630, 0.2500)
H (0.0000, 0.0000, 0.2500)
H (0.0000, 0.0000, 0.7500)
H (0.0269, 0.3481, 0.9065)
H (0.0269, 0.6788, 0.4065)
H (0.3212, 0.3481, 0.4065)
H (0.3212, 0.9731, 0.9065)
H (0.3333, 0.6667, 0.1795)
H (0.3333, 0.6667, 0.6795)
H (0.3481, 0.0269, 0.5935)
H (0.3481, 0.3212, 0.0935)
H (0.6519, 0.6788, 0.9065)
H (0.6519, 0.9731, 0.4065)
H (0.6667, 0.3333, 0.3205)
H (0.6667, 0.3333, 0.8205)
H (0.6788, 0.0269, 0.0935)
H (0.6788, 0.6519, 0.5935)
H (0.9731, 0.3212, 0.5935)
H (0.9731, 0.6519, 0.0935)

---

Repeat the first record exactly.
Starting from DFT lattice parameters and positions (PBE), the XRD peak list of Rb4CaSe4O14 was computed for Cu Kα (λ = 1.5418 Å).

Largest 10 diffraction maxima, in order of rising 2θ, 2θ = 10–90°:
| two_theta | intensity |
| --- | --- |
| 16.00 | 37.7 |
| 21.51 | 62.8 |
| 23.85 | 100.0 |
| 24.28 | 36.9 |
| 24.70 | 85.9 |
| 26.49 | 61.7 |
| 27.18 | 92.7 |
| 28.06 | 71.0 |
| 35.35 | 40.7 |
| 40.40 | 49.0 |

Structural model:
Unit cell a=8.3826 b=8.3826 c=8.0521 alpha=97.56 beta=97.56 gamma=59.05
Fractional coordinates of all 23 atoms:
Rb (0.1154, 0.5544, 0.1907)
Rb (0.1291, 0.1291, 0.3499)
Rb (0.4456, 0.8846, 0.8093)
Rb (0.8709, 0.8709, 0.6501)
Ca (0.5767, 0.4233, 0.0000)
Se (0.3702, 0.4432, 0.6438)
Se (0.5568, 0.6298, 0.3562)
Se (0.7666, 0.0235, 0.1319)
Se (0.9765, 0.2334, 0.8681)
O (0.0473, 0.1106, 0.6837)
O (0.1562, 0.2383, 0.9827)
O (0.1788, 0.4482, 0.5440)
O (0.3103, 0.6063, 0.8110)
O (0.3937, 0.6897, 0.1890)
O (0.4822, 0.5178, 0.5000)
O (0.5203, 0.2418, 0.7357)
O (0.5506, 0.2118, 0.1529)
O (0.5518, 0.8212, 0.4560)
O (0.7582, 0.4797, 0.2643)
O (0.7617, 0.8438, 0.0173)
O (0.7882, 0.4494, 0.8471)
O (0.8767, 0.1233, 0.0000)
O (0.8894, 0.9527, 0.3163)